For CsRbMg14, a cell relaxed with PBE gives the calculated powder XRD pattern in this record (Cu Kα).
Kinematic intensities with the Lorentz-polarization factor, no thermal factor.

Largest 10 diffraction maxima, low angle first, 2θ from 15° to 90°:
index  d/Å  Rel. int.
0 0 2  5.271  14
1 0 2  3.991  42
2 0 0  3.060  31
1 1 2  2.934  14
2 0 2  2.646  100
0 0 4  2.631  22
2 0 4  1.995  18
2 2 0  1.767  17
2 0 6  1.522  17
2 2 4  1.467  18

```
data_CsRbMg14
_chemical_formula_sum 'Cs1 Rb1 Mg14'
_space_group_name_H-M_alt 'P -6 m 2'
_space_group_IT_number 187
_space_group_name_Hall 'P -6 2'
_cell_length_a 7.0676
_cell_length_b 7.0676
_cell_length_c 10.5258
_cell_angle_alpha 90.00
_cell_angle_beta 90.00
_cell_angle_gamma 120.00
loop_
_atom_site_label
_atom_site_type_symbol
_atom_site_fract_x
_atom_site_fract_y
_atom_site_fract_z
Cs1 Cs 0.0000 0.0000 0.0000
Rb1 Rb 0.0000 0.0000 0.5000
Mg1 Mg 0.0072 0.5036 0.5000
Mg2 Mg 0.0081 0.5040 0.0000
Mg3 Mg 0.1883 0.3767 0.2532
Mg4 Mg 0.6667 0.3333 0.2501
```

=====

For NaCaAlSi2O7, a cell relaxed with PBE gives the calculated powder XRD pattern in this record (Cu Kα).
Kinematic intensities with the Lorentz-polarization factor, no thermal factor.

Largest 10 diffraction maxima, low angle first, 2θ from 15° to 90°:
index  d/Å  Rel. int.
0 0 1  5.108  16
2 0 1  3.726  16
3 1 0  3.447  10
2 2 1  3.077  20
1 3 1  2.858  100
4 2 0  2.437  16
1 1 2  2.424  10
0 4 1  2.405  11
3 3 1  2.296  12
2 4 2  1.763  26

```
data_NaCaAlSi2O7
_chemical_formula_sum 'Na4 Ca4 Al4 Si8 O28'
_space_group_name_H-M_alt 'C m m 2'
_space_group_IT_number 35
_cell_length_a 10.886
_cell_length_b 10.917
_cell_length_c 5.108
_cell_angle_alpha 90.00
_cell_angle_beta 90.00
_cell_angle_gamma 90.00
loop_
_space_group_symop_operation_xyz
'x,y,z'
'-x,-y,z'
'-x,y,z'
'x,-y,z'
'x+1/2,y+1/2,z'
'-x+1/2,-y+1/2,z'
'-x+1/2,y+1/2,z'
'x+1/2,-y+1/2,z'
loop_
_atom_site_label
_atom_site_type_symbol
_atom_site_fract_x
_atom_site_fract_y
_atom_site_fract_z
Na1 Na 0.159 0.000 0.000
Ca1 Ca 0.000 0.336 0.972
Al1 Al 0.250 0.250 0.486
Si1 Si 0.000 0.143 0.531
Si2 Si 0.142 0.500 0.439
O1 O 0.000 0.000 0.642
O2 O 0.000 0.154 0.218
O3 O 0.000 0.500 0.303
O4 O 0.119 0.209 0.676
O5 O 0.135 0.500 0.753
O6 O 0.203 0.379 0.299
```

=====

For LiMg6Ga, a cell relaxed with PBE gives the calculated powder XRD pattern in this record (Cu Kα).
Kinematic intensities with the Lorentz-polarization factor, no thermal factor.

Largest 10 diffraction maxima, low angle first, 2θ from 15° to 90°:
index  d/Å  Rel. int.
0 1 1  5.429  46
1 1 1  3.674  38
0 2 2  2.715  25
1 1 3  2.662  16
2 0 0  2.494  38
1 0 4  2.396  50
1 2 2  2.384  100
0 2 6  1.574  17
3 2 2  1.418  18
2 2 6  1.331  19

```
data_LiMg6Ga
_chemical_formula_sum 'Li2 Mg12 Ga2'
_space_group_name_H-M_alt 'A m m 2'
_space_group_IT_number 38
_cell_length_a 4.987
_cell_length_b 6.256
_cell_length_c 10.931
_cell_angle_alpha 90.00
_cell_angle_beta 90.00
_cell_angle_gamma 90.00
loop_
_space_group_symop_operation_xyz
'x,y,z'
'-x,-y,z'
'-x,y,z'
'x,-y,z'
'x,y+1/2,z+1/2'
'-x,-y+1/2,z+1/2'
'-x,y+1/2,z+1/2'
'x,-y+1/2,z+1/2'
loop_
_atom_site_label
_atom_site_type_symbol
_atom_site_fract_x
_atom_site_fract_y
_atom_site_fract_z
Li1 Li 0.000 0.000 0.000
Mg1 Mg 0.000 0.249 0.249
Mg2 Mg 0.500 0.000 0.165
Mg3 Mg 0.500 0.000 0.664
Mg4 Mg 0.500 0.249 0.418
Ga1 Ga 0.000 0.000 0.499
```

=====

For Sr2SmBiO6, a cell relaxed with PBE gives the calculated powder XRD pattern in this record (Cu Kα).
Kinematic intensities with the Lorentz-polarization factor, no thermal factor.

Largest 10 diffraction maxima, low angle first, 2θ from 15° to 90°:
index  d/Å  Rel. int.
1 1 -1  4.291  31
0 2 0  3.085  24
1 1 1  3.033  100
2 0 -2  2.990  23
2 2 -2  2.147  24
0 0 4  2.142  13
2 2 -4  1.918  12
1 3 -3  1.771  18
3 1 -5  1.734  24
2 2 2  1.516  15

```
data_Sr2SmBiO6
_chemical_formula_sum 'Sr4 Sm2 Bi2 O12'
_space_group_name_H-M_alt 'P 1 21/c 1'
_space_group_IT_number 14
_cell_length_a 5.980
_cell_length_b 6.169
_cell_length_c 10.446
_cell_angle_alpha 90.00
_cell_angle_beta 124.90
_cell_angle_gamma 90.00
loop_
_space_group_symop_operation_xyz
'x,y,z'
'-x,-y,-z'
'-x,y+1/2,-z+1/2'
'x,-y+1/2,z+1/2'
loop_
_atom_site_label
_atom_site_type_symbol
_atom_site_fract_x
_atom_site_fract_y
_atom_site_fract_z
Sr1 Sr 0.240 0.048 0.253
Sm1 Sm 0.500 0.000 0.000
Bi1 Bi 0.000 0.000 0.500
O1 O 0.135 0.215 0.943
O2 O 0.241 0.694 0.952
O3 O 0.339 0.042 0.739
```

=====

Q: What is the formula in the fourth record?
A: Sr2SmBiO6